(1)
Starting from the GGA+U geometry in Alexandria, the X-ray powder pattern of Li5Mn2CoO8 was simulated for a wavelength of 1.5418 Å.
Neutral-atom scattering factors, no anomalous dispersion.

Structural model:
```
Li5Mn2CoO8
1.0
4.972 0.000 0.000
1.677 5.583 0.000
0.068 2.981 5.026
Li Mn Co O
5 2 1 8
direct
0.000 0.000 0.000 Li
0.001 0.498 0.506 Li
0.493 0.005 0.758 Li
0.502 0.998 0.258 Li
0.994 0.007 0.507 Li
0.499 0.500 0.748 Mn
0.999 0.504 0.004 Mn
0.508 0.497 0.265 Co
0.239 0.734 0.873 O
0.245 0.288 0.344 O
0.250 0.276 0.883 O
0.286 0.722 0.402 O
0.730 0.259 0.645 O
0.744 0.280 0.114 O
0.745 0.723 0.132 O
0.747 0.723 0.662 O
```

Peak list (10 most intense, 15° ≤ 2θ ≤ 90°, in order of rising 2θ)
- 17.6 deg, d = 5.026 Å, I = 8.8
- 18.5 deg, d = 4.803 Å, I = 100.0
- 18.9 deg, d = 4.704 Å, I = 11.3
- 35.9 deg, d = 2.500 Å, I = 13.4
- 36.5 deg, d = 2.464 Å, I = 11.8
- 36.7 deg, d = 2.448 Å, I = 11.2
- 43.4 deg, d = 2.086 Å, I = 31.7
- 44.3 deg, d = 2.045 Å, I = 59.4
- 58.3 deg, d = 1.582 Å, I = 9.6
- 63.7 deg, d = 1.461 Å, I = 16.1

***

(2)
Starting from the GGA+U geometry in Alexandria, the X-ray powder pattern of Li7Mn2Co3O12 was simulated for a wavelength of 1.5418 Å.
Neutral-atom scattering factors, no anomalous dispersion.

Structural model:
```
Li7Mn2Co3O12
1.0
5.143 0.000 0.000
0.000 2.876 0.000
-0.138 0.000 14.466
Li Mn Co O
7 2 3 12
direct
0.000 0.000 0.000 Li
0.000 0.000 0.500 Li
0.174 0.500 0.166 Li
0.334 0.000 0.337 Li
0.500 0.500 0.500 Li
0.666 0.000 0.663 Li
0.826 0.500 0.834 Li
0.153 0.500 0.661 Mn
0.847 0.500 0.339 Mn
0.330 0.000 0.834 Co
0.500 0.500 0.000 Co
0.670 0.000 0.166 Co
0.018 0.000 0.742 O
0.145 0.500 0.409 O
0.176 0.500 0.913 O
0.313 0.000 0.593 O
0.350 0.000 0.082 O
0.467 0.500 0.750 O
0.533 0.500 0.250 O
0.650 0.000 0.918 O
0.687 0.000 0.407 O
0.824 0.500 0.087 O
0.855 0.500 0.591 O
0.982 0.000 0.258 O
```

Peak list (10 most intense, 15° ≤ 2θ ≤ 90°, in order of rising 2θ)
- 18.3 deg, d = 4.860 Å, I = 100.0
- 35.8 deg, d = 2.511 Å, I = 14.5
- 36.4 deg, d = 2.470 Å, I = 28.2
- 43.4 deg, d = 2.086 Å, I = 28.7
- 43.8 deg, d = 2.066 Å, I = 57.0
- 47.9 deg, d = 1.899 Å, I = 9.4
- 57.5 deg, d = 1.603 Å, I = 9.6
- 62.5 deg, d = 1.486 Å, I = 7.8
- 63.1 deg, d = 1.472 Å, I = 15.6
- 63.6 deg, d = 1.464 Å, I = 15.1

***

(3)
Starting from the GGA+U geometry in Alexandria, the X-ray powder pattern of Li4MnCo2O7 was simulated for a wavelength of 1.5418 Å.
Neutral-atom scattering factors, no anomalous dispersion.

Structural model:
```
Li4MnCo2O7
1.0
6.275 -1.472 0.000
6.275 1.472 0.000
-4.731 0.000 13.614
Li Mn Co O
8 2 4 14
direct
0.000 0.000 0.000 Li
0.001 0.001 0.498 Li
0.137 0.137 0.206 Li
0.300 0.300 0.942 Li
0.434 0.434 0.644 Li
0.568 0.568 0.344 Li
0.712 0.712 0.078 Li
0.862 0.862 0.803 Li
0.570 0.570 0.858 Mn
0.720 0.720 0.575 Mn
0.145 0.145 0.714 Co
0.296 0.296 0.426 Co
0.432 0.432 0.131 Co
0.858 0.858 0.278 Co
0.015 0.015 0.757 O
0.135 0.135 0.943 O
0.160 0.160 0.484 O
0.276 0.276 0.669 O
0.291 0.291 0.186 O
0.429 0.429 0.399 O
0.438 0.438 0.886 O
0.566 0.566 0.110 O
0.588 0.588 0.619 O
0.701 0.701 0.805 O
0.726 0.726 0.333 O
0.852 0.852 0.540 O
0.856 0.856 0.041 O
0.993 0.993 0.253 O
```

Peak list (10 most intense, 15° ≤ 2θ ≤ 90°, in order of rising 2θ)
- 18.2 deg, d = 4.880 Å, I = 100.0
- 35.8 deg, d = 2.509 Å, I = 26.0
- 36.8 deg, d = 2.443 Å, I = 16.4
- 42.9 deg, d = 2.108 Å, I = 56.4
- 44.9 deg, d = 2.021 Å, I = 24.3
- 48.0 deg, d = 1.896 Å, I = 8.6
- 56.4 deg, d = 1.632 Å, I = 9.8
- 63.2 deg, d = 1.472 Å, I = 8.0
- 63.4 deg, d = 1.468 Å, I = 14.1
- 64.3 deg, d = 1.450 Å, I = 12.9

***

(4)
Starting from the GGA+U geometry in Alexandria, the X-ray powder pattern of Li7Mn2Co3O12 was simulated for a wavelength of 1.5418 Å.
Neutral-atom scattering factors, no anomalous dispersion.

Structural model:
```
Li7Mn2Co3O12
1.0
2.920 0.000 0.000
0.006 8.198 0.000
0.318 3.991 8.892
Li Mn Co O
7 2 3 12
direct
0.000 0.000 0.000 Li
0.004 0.501 0.003 Li
0.046 0.653 0.698 Li
0.470 0.500 0.501 Li
0.487 0.187 0.170 Li
0.517 0.818 0.855 Li
0.962 0.344 0.332 Li
0.506 0.005 0.516 Mn
0.974 0.835 0.339 Mn
0.031 0.168 0.683 Co
0.489 0.649 0.164 Co
0.513 0.336 0.846 Co
0.003 0.752 0.016 O
0.012 0.257 0.985 O
0.027 0.393 0.699 O
0.050 0.932 0.674 O
0.460 0.768 0.489 O
0.482 0.423 0.183 O
0.488 0.909 0.196 O
0.516 0.109 0.826 O
0.528 0.559 0.839 O
0.547 0.238 0.535 O
0.960 0.070 0.351 O
0.978 0.606 0.338 O
```

Peak list (10 most intense, 15° ≤ 2θ ≤ 90°, in order of rising 2θ)
- 18.4 deg, d = 4.832 Å, I = 100.0
- 35.6 deg, d = 2.523 Å, I = 13.1
- 36.4 deg, d = 2.470 Å, I = 11.8
- 36.6 deg, d = 2.458 Å, I = 12.6
- 42.7 deg, d = 2.117 Å, I = 28.1
- 44.2 deg, d = 2.049 Å, I = 25.2
- 44.3 deg, d = 2.044 Å, I = 26.2
- 58.2 deg, d = 1.584 Å, I = 9.0
- 62.7 deg, d = 1.482 Å, I = 7.4
- 62.9 deg, d = 1.478 Å, I = 7.0

***

(5)
Starting from the GGA+U geometry in Alexandria, the X-ray powder pattern of Li7Mn2Co3O12 was simulated for a wavelength of 1.5418 Å.
Neutral-atom scattering factors, no anomalous dispersion.

Structural model:
```
Li7Mn2Co3O12
1.0
5.109 0.000 0.000
1.643 5.675 0.000
1.689 0.922 7.356
Li Mn Co O
7 2 3 12
direct
0.000 0.000 0.000 Li
0.000 0.500 0.000 Li
0.006 0.329 0.661 Li
0.010 0.841 0.658 Li
0.500 0.000 0.500 Li
0.990 0.159 0.342 Li
0.994 0.671 0.339 Li
0.497 0.666 0.831 Mn
0.503 0.334 0.169 Mn
0.488 0.843 0.182 Co
0.500 0.500 0.500 Co
0.512 0.157 0.818 Co
0.253 0.837 0.402 O
0.270 0.973 0.765 O
0.276 0.500 0.744 O
0.277 0.648 0.077 O
0.282 0.178 0.079 O
0.283 0.348 0.409 O
0.717 0.652 0.591 O
0.718 0.822 0.921 O
0.723 0.352 0.923 O
0.724 0.500 0.256 O
0.730 0.027 0.235 O
0.747 0.163 0.598 O
```

Peak list (10 most intense, 15° ≤ 2θ ≤ 90°, in order of rising 2θ)
- 18.4 deg, d = 4.825 Å, I = 100.0
- 35.5 deg, d = 2.527 Å, I = 14.7
- 36.1 deg, d = 2.486 Å, I = 12.5
- 36.7 deg, d = 2.452 Å, I = 12.1
- 43.0 deg, d = 2.104 Å, I = 30.1
- 43.7 deg, d = 2.069 Å, I = 28.1
- 44.4 deg, d = 2.041 Å, I = 26.4
- 47.8 deg, d = 1.903 Å, I = 12.3
- 62.9 deg, d = 1.477 Å, I = 7.8
- 63.2 deg, d = 1.471 Å, I = 7.8

***

(6)
Starting from the GGA+U geometry in Alexandria, the X-ray powder pattern of Li4MnCo2O7 was simulated for a wavelength of 1.5418 Å.
Neutral-atom scattering factors, no anomalous dispersion.

Structural model:
```
Li4MnCo2O7
1.0
2.877 0.000 0.000
0.102 5.849 0.000
1.329 1.607 14.482
Li Mn Co O
8 2 4 14
direct
0.000 0.000 0.000 Li
0.000 0.500 0.000 Li
0.143 0.073 0.713 Li
0.289 0.643 0.431 Li
0.436 0.210 0.127 Li
0.564 0.790 0.873 Li
0.711 0.357 0.569 Li
0.857 0.927 0.287 Li
0.438 0.717 0.137 Mn
0.562 0.283 0.863 Mn
0.138 0.579 0.711 Co
0.278 0.140 0.431 Co
0.722 0.860 0.569 Co
0.862 0.421 0.289 Co
0.057 0.517 0.854 O
0.071 0.063 0.856 O
0.218 0.085 0.564 O
0.230 0.634 0.571 O
0.338 0.184 0.296 O
0.383 0.662 0.280 O
0.495 0.746 0.012 O
0.505 0.254 0.988 O
0.617 0.338 0.720 O
0.662 0.816 0.704 O
0.770 0.366 0.429 O
0.782 0.915 0.436 O
0.929 0.937 0.144 O
0.943 0.483 0.146 O
```

Peak list (10 most intense, 15° ≤ 2θ ≤ 90°, in order of rising 2θ)
- 18.5 deg, d = 4.799 Å, I = 100.0
- 36.2 deg, d = 2.484 Å, I = 25.7
- 36.8 deg, d = 2.440 Å, I = 12.1
- 37.9 deg, d = 2.375 Å, I = 6.9
- 43.8 deg, d = 2.069 Å, I = 54.0
- 44.6 deg, d = 2.033 Å, I = 25.8
- 48.1 deg, d = 1.892 Å, I = 7.9
- 63.6 deg, d = 1.463 Å, I = 21.2
- 63.7 deg, d = 1.460 Å, I = 7.1
- 64.8 deg, d = 1.438 Å, I = 7.1

***

(7)
Starting from the GGA+U geometry in Alexandria, the X-ray powder pattern of Li4MnCo2O7 was simulated for a wavelength of 1.5418 Å.
Neutral-atom scattering factors, no anomalous dispersion.

Structural model:
```
Li4MnCo2O7
1.0
6.453 -1.433 0.000
6.453 1.433 0.000
-5.459 0.000 13.365
Li Mn Co O
8 2 4 14
direct
0.000 0.000 0.000 Li
0.015 0.015 0.510 Li
0.151 0.151 0.722 Li
0.312 0.312 0.449 Li
0.436 0.436 0.151 Li
0.583 0.583 0.861 Li
0.720 0.720 0.574 Li
0.878 0.878 0.308 Li
0.150 0.150 0.231 Mn
0.722 0.722 0.079 Mn
0.298 0.298 0.936 Co
0.447 0.447 0.650 Co
0.583 0.583 0.374 Co
0.869 0.869 0.792 Co
0.004 0.004 0.746 O
0.025 0.025 0.273 O
0.151 0.151 0.465 O
0.153 0.153 0.984 O
0.278 0.278 0.183 O
0.315 0.315 0.695 O
0.434 0.434 0.888 O
0.452 0.452 0.401 O
0.571 0.571 0.622 O
0.584 0.584 0.137 O
0.716 0.716 0.326 O
0.733 0.733 0.836 O
0.864 0.864 0.041 O
0.878 0.878 0.561 O
```

Peak list (10 most intense, 15° ≤ 2θ ≤ 90°, in order of rising 2θ)
- 18.4 deg, d = 4.817 Å, I = 100.0
- 35.6 deg, d = 2.521 Å, I = 14.7
- 36.5 deg, d = 2.463 Å, I = 23.3
- 37.4 deg, d = 2.407 Å, I = 7.6
- 43.2 deg, d = 2.094 Å, I = 27.3
- 44.1 deg, d = 2.053 Å, I = 52.3
- 48.0 deg, d = 1.894 Å, I = 8.5
- 58.0 deg, d = 1.590 Å, I = 10.1
- 63.5 deg, d = 1.466 Å, I = 27.7
- 65.1 deg, d = 1.433 Å, I = 7.1

***

(8)
Starting from the GGA+U geometry in Alexandria, the X-ray powder pattern of Li7Mn2Co3O12 was simulated for a wavelength of 1.5418 Å.
Neutral-atom scattering factors, no anomalous dispersion.

Structural model:
```
Li7Mn2Co3O12
1.0
7.612 -1.445 0.000
7.612 1.445 0.000
-3.317 0.000 9.810
Li Mn Co O
7 2 3 12
direct
0.000 0.000 0.000 Li
0.002 0.002 0.491 Li
0.166 0.166 0.413 Li
0.328 0.328 0.820 Li
0.333 0.333 0.331 Li
0.663 0.663 0.637 Li
0.679 0.679 0.185 Li
0.499 0.499 0.742 Mn
0.507 0.507 0.253 Mn
0.169 0.169 0.912 Co
0.820 0.820 0.559 Co
0.835 0.835 0.082 Co
0.073 0.073 0.703 O
0.077 0.077 0.206 O
0.255 0.255 0.621 O
0.257 0.257 0.120 O
0.417 0.417 0.559 O
0.418 0.418 0.054 O
0.576 0.576 0.434 O
0.586 0.586 0.932 O
0.748 0.748 0.884 O
0.759 0.759 0.381 O
0.927 0.927 0.281 O
0.929 0.929 0.788 O
```

Peak list (10 most intense, 15° ≤ 2θ ≤ 90°, in order of rising 2θ)
- 18.3 deg, d = 4.841 Å, I = 100.0
- 35.3 deg, d = 2.542 Å, I = 12.9
- 36.3 deg, d = 2.476 Å, I = 24.7
- 42.6 deg, d = 2.124 Å, I = 28.1
- 44.0 deg, d = 2.057 Å, I = 54.7
- 47.5 deg, d = 1.915 Å, I = 8.6
- 57.9 deg, d = 1.591 Å, I = 9.4
- 62.7 deg, d = 1.481 Å, I = 14.9
- 63.1 deg, d = 1.474 Å, I = 13.8
- 64.5 deg, d = 1.445 Å, I = 8.7